Theoretical powder XRD pattern
Compound: TbHo2V
Radiation: copper Kα
Structure: a crystal structure in Alexandria, relaxed with GGA-PBE
No peak broadening, texture or thermal motion is included.

Structure:
Cell lengths 3.3610, 3.3610, 34.2105 Å; angles 90.00, 90.00, 120.00 degrees
Space group R-3m (No. 166, hexagonal axes)
Asymmetric unit:
Tb  0.0000  0.0000  0.0000 [3 per cell]
Ho  0.0000  0.0000  0.4182 [6 per cell]
V  0.0000  0.0000  0.5000 [3 per cell]

Top 12 peaks for 2θ from 10° to 90°, by angle:
hkl  2θ/deg  I (rel.)
1 0 1  30.8  23
0 1 2  31.2  100
0 0 12  31.4  65
0 1 5  33.5  85
1 0 7  35.9  77
1 0 10  40.7  40
0 1 14  48.7  34
1 1 0  54.6  41
0 1 17  55.5  18
1 0 19  60.5  19
1 1 12  64.4  49
0 0 24  65.5  20